Structure and calculated powder diffractogram of Na5SrLi2 (a crystal structure in Alexandria, relaxed with GGA-PBE; Cu Kα).
Intensities are scaled so that the largest is 100.

```
data_Na5SrLi2
_symmetry_space_group_name_H-M 'I m m m'
_symmetry_Int_Tables_number 71
_symmetry_space_group_name_Hall '-I 2 2'
_cell_length_a 5.124
_cell_length_b 9.687
_cell_length_c 11.569
_cell_angle_alpha 90.00
_cell_angle_beta 90.00
_cell_angle_gamma 90.00
loop_
_atom_site_label
_atom_site_type_symbol
_atom_site_fract_x
_atom_site_fract_y
_atom_site_fract_z
Na1 Na 0.000 0.000 0.000
Na2 Na 0.000 0.315 0.343
Sr1 Sr 0.000 0.500 0.000
Li1 Li 0.000 0.000 0.275
```

Principal peaks in the range 15 to 90 degrees two-theta, low angle first:
(1 1 0), 2θ 19.60, I = 40
(0 2 2), 2θ 23.96, I = 49
(0 1 3), 2θ 24.85, I = 25
(1 2 1), 2θ 26.47, I = 100
(0 3 1), 2θ 28.70, I = 25
(1 0 3), 2θ 28.98, I = 83
(2 0 0), 2θ 35.02, I = 27
(0 2 4), 2θ 36.17, I = 28
(1 3 2), 2θ 36.37, I = 25
(2 2 2), 2θ 42.88, I = 25


Structure and calculated powder diffractogram of Na2ErTmS4 (a crystal structure in Alexandria, relaxed with GGA-PBE; Cu Kα).
Intensities are scaled so that the largest is 100.

```
data_Na2ErTmS4
_symmetry_space_group_name_H-M 'P 1 2/m 1'
_symmetry_Int_Tables_number 10
_cell_length_a 6.822
_cell_length_b 3.940
_cell_length_c 7.052
_cell_angle_alpha 90.00
_cell_angle_beta 108.80
_cell_angle_gamma 90.00
loop_
_symmetry_equiv_pos_as_xyz
'x,y,z'
'-x,-y,-z'
'-x,y,-z'
'x,-y,z'
loop_
_atom_site_label
_atom_site_type_symbol
_atom_site_fract_x
_atom_site_fract_y
_atom_site_fract_z
Na1 Na 0.000 0.000 0.000
Na2 Na 0.500 0.500 0.000
Er1 Er 0.000 0.500 0.500
Tm1 Tm 0.500 0.000 0.500
S1 S 0.242 0.000 0.725
S2 S 0.260 0.500 0.276
```

Principal peaks in the range 15 to 90 degrees two-theta, low angle first:
(2 0 -1), 2θ 26.50, I = 46
(2 0 0), 2θ 27.62, I = 33
(1 1 1), 2θ 31.74, I = 100
(1 1 -2), 2θ 34.53, I = 19
(1 1 2), 2θ 41.18, I = 21
(2 0 2), 2θ 44.91, I = 36
(0 2 0), 2θ 46.08, I = 35
(3 1 0), 2θ 48.16, I = 22
(4 0 0), 2θ 57.03, I = 18
(4 2 0), 2θ 76.24, I = 15


Structure and calculated powder diffractogram of SrAgHg6 (a crystal structure in Alexandria, relaxed with GGA-PBE; Cu Kα).
Intensities are scaled so that the largest is 100.

```
data_SrAgHg6
_symmetry_space_group_name_H-M 'R -3 m'
_symmetry_Int_Tables_number 166
_symmetry_space_group_name_Hall '-R 3 2"'
_cell_length_a 6.0398
_cell_length_b 6.0398
_cell_length_c 26.0335
_cell_angle_alpha 90.00
_cell_angle_beta 90.00
_cell_angle_gamma 120.00
loop_
_atom_site_label
_atom_site_type_symbol
_atom_site_fract_x
_atom_site_fract_y
_atom_site_fract_z
Sr1 Sr 0.0000 0.0000 0.0000
Ag1 Ag 0.0000 0.0000 0.5000
Hg1 Hg 0.0040 0.5020 0.4401
```

Principal peaks in the range 15 to 90 degrees two-theta, low angle first:
(1 0 1), 2θ 17.29, I = 47
(0 0 6), 2θ 20.47, I = 29
(0 0 9), 2θ 30.91, I = 44
(0 1 8), 2θ 32.40, I = 32
(0 2 1), 2θ 34.47, I = 100
(2 0 2), 2θ 35.00, I = 86
(1 1 6), 2θ 36.24, I = 28
(0 2 7), 2θ 42.24, I = 47
(2 0 8), 2θ 44.44, I = 38
(2 2 0), 2θ 61.40, I = 29